1.
This entry pairs a crystal structure of ReH6CN3O4 with its computed XRD peak list. Radiation: Cu Ka. Structure: the PBE geometry in Alexandria.
Lines closer than 0.1° are merged.

Cell and atoms:
```
ReH6CN3O4
1.0
5.3380 0.0000 0.0000
0.7750 8.0741 0.0000
0.0422 2.0198 8.2674
Re H C N O
2 12 2 6 8
Cartesian
0.2911 2.6920 2.6004
5.8642 7.4020 5.6671
1.1334 2.4728 6.2797
1.2175 2.9064 7.9896
2.1212 5.1013 0.6923
2.2008 5.6756 2.8558
2.7361 3.2938 4.8002
3.2200 7.8689 7.7647
2.9352 2.2251 0.5027
3.4192 6.8001 3.4672
3.9544 4.4183 5.4117
4.0341 4.9927 7.5751
4.9378 7.1875 0.2778
5.0219 7.6212 1.9877
2.6707 3.6920 6.8087
3.4846 6.4020 1.4588
1.6479 2.8700 7.0636
2.9005 5.7176 0.4652
3.0181 6.2604 2.7042
3.1371 3.8336 5.5632
3.2547 4.3764 7.8022
4.5074 7.2240 1.2039
0.9081 4.2313 2.0111
0.8199 1.4005 1.5317
0.8685 2.4249 4.2361
2.2749 7.3389 5.6714
3.8804 2.7551 2.5960
5.2868 7.6691 4.0313
5.3353 8.6935 6.7357
5.2472 5.8626 6.2563
```

Main lines, most intense first (15 to 90 degrees two-theta):
| 2theta | I_rel |
| --- | --- |
| 22.67 | 100 |
| 16.69 | 87 |
| 22.28 | 79 |
| 17.33 | 76 |
| 20.86 | 66 |
| 25.05 | 56 |
| 23.22 | 54 |
| 21.79 | 50 |
| 27.10 | 46 |
| 21.50 | 45 |

2.
This entry pairs a crystal structure of Cd2InAu5 with its computed XRD peak list. Radiation: Cu Ka. Structure: the PBE geometry in Alexandria.
Lines closer than 0.1° are merged.

Cell and atoms:
```
Cd2InAu5
1.0
-2.1609 2.1609 8.1967
2.1609 -2.1609 8.1967
2.1609 2.1609 -8.1967
Cd In Au
2 1 5
Cartesian
0.0000 0.0000 4.0722
0.0000 0.0000 12.3212
0.0000 0.0000 8.1967
0.0000 0.0000 0.0000
2.1609 0.0000 2.0599
2.1609 0.0000 6.1368
0.0000 2.1609 2.0599
0.0000 2.1609 6.1368
```

Main lines, most intense first (15 to 90 degrees two-theta):
| 2theta | I_rel |
| --- | --- |
| 36.68 | 100 |
| 41.80 | 35 |
| 72.97 | 27 |
| 62.46 | 21 |
| 44.20 | 15 |
| 76.36 | 12 |
| 60.60 | 12 |
| 78.00 | 11 |
| 29.22 | 3 |
| 21.68 | 3 |

3.
This entry pairs a crystal structure of Ta3ZnO with its computed XRD peak list. Radiation: Cu Ka. Structure: the PBE geometry in Alexandria.
Lines closer than 0.1° are merged.

Cell and atoms:
```
Ta3ZnO
1.0
3.2763 0.0000 0.0000
0.0000 8.3958 0.0000
-1.6339 0.0000 5.2951
Ta Zn O
6 2 2
Cartesian
-0.0016 2.0989 0.4459
-0.0018 0.4249 3.7877
-0.0018 3.7730 3.7877
1.6443 4.6227 1.5074
1.6443 7.9709 1.5074
1.6440 6.2968 4.8492
0.0059 6.2968 2.7461
1.6366 2.0989 2.5490
0.0000 0.0000 0.0000
0.0000 4.1979 0.0000
```

Main lines, most intense first (15 to 90 degrees two-theta):
| 2theta | I_rel |
| --- | --- |
| 35.79 | 100 |
| 37.45 | 91 |
| 36.31 | 64 |
| 40.27 | 53 |
| 39.01 | 44 |
| 43.38 | 44 |
| 61.80 | 29 |
| 56.15 | 25 |
| 68.72 | 20 |
| 68.15 | 20 |

4.
This entry pairs a crystal structure of AlPtRh with its computed XRD peak list. Radiation: Cu Ka. Structure: the PBE geometry in Alexandria.
Lines closer than 0.1° are merged.

Cell and atoms:
```
AlPtRh
1.0
2.8448 0.0000 0.0000
-1.4224 2.4636 0.0000
0.0000 0.0000 6.2718
Al Pt Rh
1 1 1
Cartesian
0.0000 0.0000 0.0000
1.4224 0.8212 2.0030
0.0000 1.6424 4.3872
```

Main lines, most intense first (15 to 90 degrees two-theta):
| 2theta | I_rel |
| --- | --- |
| 39.29 | 100 |
| 46.90 | 48 |
| 28.46 | 23 |
| 36.47 | 19 |
| 71.30 | 18 |
| 65.64 | 17 |
| 43.28 | 17 |
| 81.92 | 16 |
| 57.85 | 14 |
| 79.26 | 13 |